1.
Li3Nb3TeO12: computed PXRD pattern (Cu Kα X-rays), based on a PBE-relaxed structure.

Largest 6 diffraction maxima, in order of rising 2θ, 2θ = 5–70°:
2θ (°)  I (rel.)  (hkl)
23.4  100.0  1 1 0
23.6  49.7  1 -1 0
32.5  35.0  1 1 2
32.6  17.4  -1 1 2
34.3  22.5  1 -1 2
52.8  19.4  -1 1 4

Crystal structure
Unit cell a=5.199 b=5.526 c=7.625 alpha=85.63 beta=89.78 gamma=89.73
Space group P1 (No. 1)
Inequivalent atoms, fractional coordinates:
Li 0.000 0.000 0.000 x1
Li 0.009 0.012 0.502 x1
Li 0.509 0.509 0.493 x1
Nb 0.004 0.570 0.278 x1
Nb 0.504 0.072 0.278 x1
Nb 0.997 0.581 0.783 x1
Te 0.507 0.092 0.785 x1
O 0.107 0.611 0.041 x1
O 0.202 0.290 0.359 x1
O 0.202 0.914 0.733 x1
O 0.315 0.794 0.362 x1
O 0.323 0.401 0.728 x1
O 0.379 0.096 0.032 x1
O 0.636 0.115 0.548 x1
O 0.690 0.409 0.256 x1
O 0.714 0.812 0.858 x1
O 0.808 0.283 0.859 x1
O 0.828 0.922 0.242 x1
O 0.884 0.618 0.548 x1

***

2.
CrPt4: computed PXRD pattern (Cu Kα X-rays), based on a PBE-relaxed structure.

Largest 6 diffraction maxima, in order of rising 2θ, 2θ = 5–70°:
2θ (°)  I (rel.)  (hkl)
7.8  12.9  0 0 3
31.7  7.7  0 0 12
39.9  100.0  0 1 5
46.3  48.0  1 0 10
67.6  16.8  1 1 0
67.7  12.7  0 1 20

Crystal structure
Unit cell a=2.7725 b=2.7725 c=33.8786 alpha=90.00 beta=90.00 gamma=120.00
Space group R-3m (No. 166, hexagonal axes)
Inequivalent atoms, fractional coordinates:
Cr 0.0000 0.0000 0.0000 x3
Pt 0.0000 0.0000 0.2016 x6
Pt 0.0000 0.0000 0.3942 x6

***

3.
Al3Pb5F19: computed PXRD pattern (Cu Kα X-rays), based on a PBE-relaxed structure.

Largest 6 diffraction maxima, in order of rising 2θ, 2θ = 5–70°:
2θ (°)  I (rel.)  (hkl)
18.1  48.7  1 -1 0
24.3  49.3  2 1 1
24.6  42.5  0 2 2
25.4  100.0  1 3 0
27.5  100.0  0 3 1
28.0  93.4  1 -2 2

Crystal structure
Unit cell a=7.330 b=10.835 c=10.846 alpha=83.98 beta=70.62 gamma=71.14
Space group P-1 (No. 2)
Inequivalent atoms, fractional coordinates:
Al 0.165 0.168 0.018 x2
Al 0.246 0.999 0.502 x2
Al 0.326 0.517 0.330 x2
Pb 0.077 0.674 0.658 x2
Pb 0.239 0.540 0.978 x2
Pb 0.249 0.843 0.176 x2
Pb 0.279 0.280 0.660 x2
Pb 0.440 0.845 0.776 x2
F 0.000 0.000 0.500 x1
F 0.019 0.223 0.901 x2
F 0.068 0.835 0.851 x2
F 0.077 0.637 0.360 x2
F 0.095 0.341 0.062 x2
F 0.127 0.463 0.793 x2
F 0.140 0.065 0.668 x2
F 0.206 0.163 0.436 x2
F 0.234 0.996 0.979 x2
F 0.240 0.386 0.301 x2
F 0.275 0.480 0.504 x2
F 0.301 0.124 0.137 x2
F 0.301 0.834 0.568 x2
F 0.366 0.933 0.338 x2
F 0.382 0.559 0.154 x2
F 0.383 0.191 0.885 x2
F 0.407 0.713 0.960 x2
F 0.414 0.603 0.717 x2
F 0.423 0.649 0.345 x2
F 0.500 0.000 0.500 x1

***

4.
Mg6TiCO8: computed PXRD pattern (Cu Kα X-rays), based on a PBE-relaxed structure.

Largest 6 diffraction maxima, in order of rising 2θ, 2θ = 5–70°:
2θ (°)  I (rel.)  (hkl)
23.4  19.6  1 0 1
36.2  19.3  1 1 2
39.5  58.6  0 0 4
43.3  100.0  2 0 0
60.1  56.2  2 0 4
63.0  27.4  2 2 0

Crystal structure
Unit cell a=4.176 b=4.176 c=9.122 alpha=90.00 beta=90.00 gamma=90.00
Space group P4/mmm (No. 123)
Inequivalent atoms, fractional coordinates:
Mg 0.000 0.000 0.000 x1
Mg 0.000 0.000 0.500 x1
Mg 0.000 0.500 0.232 x4
Ti 0.500 0.500 0.500 x1
C 0.500 0.500 0.000 x1
O 0.000 0.000 0.244 x2
O 0.000 0.500 0.000 x2
O 0.000 0.500 0.500 x2
O 0.500 0.500 0.286 x2

***

5.
CsMg14Sb: computed PXRD pattern (Cu Kα X-rays), based on a PBE-relaxed structure.

Largest 6 diffraction maxima, in order of rising 2θ, 2θ = 5–70°:
2θ (°)  I (rel.)  (hkl)
15.7  48.8  1 0 0
22.4  47.5  1 0 2
31.7  29.5  2 0 0
32.2  27.8  0 0 4
35.7  100.0  2 0 2
45.8  20.8  2 0 4

Crystal structure
Unit cell a=6.5134 b=6.5134 c=11.1233 alpha=90.00 beta=90.00 gamma=120.00
Space group P-6m2 (No. 187)
Inequivalent atoms, fractional coordinates:
Cs 0.0000 0.0000 0.0000 x1
Mg 0.0044 0.5022 0.0000 x3
Mg 0.1707 0.3415 0.2643 x6
Mg 0.5030 0.0059 0.5000 x3
Mg 0.6667 0.3333 0.2444 x2
Sb 0.0000 0.0000 0.5000 x1

***

6.
ThCoH4: computed PXRD pattern (Cu Kα X-rays), based on a PBE-relaxed structure.

Largest 6 diffraction maxima, in order of rising 2θ, 2θ = 5–70°:
2θ (°)  I (rel.)  (hkl)
24.1  81.3  0 2 1
30.3  46.9  0 4 0
30.8  100.0  1 1 1
32.4  27.4  1 3 0
37.7  57.2  1 3 1
38.0  28.8  0 0 2

Crystal structure
Unit cell a=3.879 b=11.793 c=4.731 alpha=90.00 beta=90.00 gamma=90.00
Space group Cmcm (No. 63)
Inequivalent atoms, fractional coordinates:
Th 0.000 0.131 0.250 x4
Co 0.000 0.403 0.250 x4
H 0.000 0.087 0.750 x4
H 0.000 0.306 0.503 x8
H 0.000 0.500 0.000 x4

***

7.
AgSbTe2: computed PXRD pattern (Cu Kα X-rays), based on a PBE-relaxed structure.

Largest 6 diffraction maxima, in order of rising 2θ, 2θ = 5–70°:
2θ (°)  I (rel.)  (hkl)
29.1  100.0  1 0 4
41.3  38.6  1 1 0
42.0  36.0  0 1 8
51.3  20.2  0 2 4
67.9  17.1  2 1 4
68.9  15.7  1 1 12

Crystal structure
Unit cell a=4.3745 b=4.3745 c=20.8867 alpha=90.00 beta=90.00 gamma=120.00
Space group R-3m (No. 166, hexagonal axes)
Inequivalent atoms, fractional coordinates:
Ag 0.0000 0.0000 0.0000 x3
Sb 0.0000 0.0000 0.5000 x3
Te 0.0000 0.0000 0.2537 x6

***

8.
Ba2Na2O3: computed PXRD pattern (Cu Kα X-rays), based on a PBE-relaxed structure.

Largest 6 diffraction maxima, in order of rising 2θ, 2θ = 5–70°:
2θ (°)  I (rel.)  (hkl)
19.2  84.2  1 1 1
29.6  100.0  2 0 2
29.9  31.3  1 1 3
32.2  29.2  0 0 4
35.4  46.9  2 2 0
48.6  34.9  2 2 4

Crystal structure
Unit cell a=7.181 b=7.181 c=11.103 alpha=90.00 beta=90.00 gamma=90.00
Space group P4_32_12 (No. 96)
Inequivalent atoms, fractional coordinates:
Ba 0.015 0.248 0.356 x8
Na 0.033 0.246 0.893 x8
O 0.003 0.745 0.618 x8
O 0.202 0.798 0.250 x4

***

Copy entry 8 word for word.
Ba2Na2O3: computed PXRD pattern (Cu Kα X-rays), based on a PBE-relaxed structure.

Largest 6 diffraction maxima, in order of rising 2θ, 2θ = 5–70°:
2θ (°)  I (rel.)  (hkl)
19.2  84.2  1 1 1
29.6  100.0  2 0 2
29.9  31.3  1 1 3
32.2  29.2  0 0 4
35.4  46.9  2 2 0
48.6  34.9  2 2 4

Crystal structure
Unit cell a=7.181 b=7.181 c=11.103 alpha=90.00 beta=90.00 gamma=90.00
Space group P4_32_12 (No. 96)
Inequivalent atoms, fractional coordinates:
Ba 0.015 0.248 0.356 x8
Na 0.033 0.246 0.893 x8
O 0.003 0.745 0.618 x8
O 0.202 0.798 0.250 x4

***

Copy entry 5 word for word.
CsMg14Sb: computed PXRD pattern (Cu Kα X-rays), based on a PBE-relaxed structure.

Largest 6 diffraction maxima, in order of rising 2θ, 2θ = 5–70°:
2θ (°)  I (rel.)  (hkl)
15.7  48.8  1 0 0
22.4  47.5  1 0 2
31.7  29.5  2 0 0
32.2  27.8  0 0 4
35.7  100.0  2 0 2
45.8  20.8  2 0 4

Crystal structure
Unit cell a=6.5134 b=6.5134 c=11.1233 alpha=90.00 beta=90.00 gamma=120.00
Space group P-6m2 (No. 187)
Inequivalent atoms, fractional coordinates:
Cs 0.0000 0.0000 0.0000 x1
Mg 0.0044 0.5022 0.0000 x3
Mg 0.1707 0.3415 0.2643 x6
Mg 0.5030 0.0059 0.5000 x3
Mg 0.6667 0.3333 0.2444 x2
Sb 0.0000 0.0000 0.5000 x1